[1]
The following is a calculated powder X-ray diffraction pattern of PrNdY3Th. It was derived from a crystal structure in Alexandria, relaxed with PBE, using Cu Kα (weighted mean of Kα1 and Kα2).

Peak list (8 most intense, 10° ≤ 2θ ≤ 90°, by angle)
- 2θ = 10.02°, 8.825 Å, I 250
- 2θ = 30.23°, 2.956 Å, I 1000
- 2θ = 30.24°, 2.955 Å, I 529
- 2θ = 30.39°, 2.942 Å, I 484
- 2θ = 34.97°, 2.566 Å, I 330
- 2θ = 35.16°, 2.553 Å, I 704
- 2θ = 50.51°, 1.807 Å, I 349
- 2θ = 60.07°, 1.540 Å, I 284

Structure:
```
PrNdY3Th
1.0
10.8080 0.0000 0.0000
0.0000 3.6164 0.0000
-3.5511 0.0000 10.2635
Pr Nd Y Th
2 2 6 2
Direct
0.2097 0.2500 0.3733 Pr
0.7903 0.7500 0.6267 Pr
0.1300 0.7500 0.6320 Nd
0.8700 0.2500 0.3680 Nd
0.0436 0.2500 0.8767 Y
0.2945 0.7500 0.1185 Y
0.4596 0.7500 0.6310 Y
0.5404 0.2500 0.3690 Y
0.7055 0.2500 0.8815 Y
0.9564 0.7500 0.1233 Y
0.3789 0.2500 0.8776 Th
0.6211 0.7500 0.1224 Th
```

[2]
The following is a calculated powder X-ray diffraction pattern of PrNdY2Th. It was derived from a crystal structure in Alexandria, relaxed with PBE, using Cu Kα (weighted mean of Kα1 and Kα2).

Peak list (8 most intense, 10° ≤ 2θ ≤ 90°, by angle)
- 2θ = 10.32°, 8.569 Å, I 545
- 2θ = 20.73°, 4.284 Å, I 841
- 2θ = 29.11°, 3.067 Å, I 919
- 2θ = 30.75°, 2.907 Å, I 571
- 2θ = 31.51°, 2.839 Å, I 1000
- 2θ = 31.68°, 2.825 Å, I 458
- 2θ = 35.23°, 2.548 Å, I 626
- 2θ = 40.59°, 2.222 Å, I 513

Structure:
```
PrNdY2Th
1.0
8.7515 0.0000 0.0000
0.0000 6.5701 0.0000
-1.2968 0.0000 6.2575
Pr Nd Y Th
2 2 4 2
Direct
0.0000 0.0000 0.0000 Pr
0.0000 0.0000 0.5000 Pr
0.5000 0.1656 0.2500 Nd
0.5000 0.8344 0.7500 Nd
0.3133 0.3284 0.6872 Y
0.3133 0.6716 0.1872 Y
0.6867 0.3284 0.8128 Y
0.6867 0.6716 0.3128 Y
0.0000 0.4515 0.2500 Th
0.0000 0.5485 0.7500 Th
```

[3]
The following is a calculated powder X-ray diffraction pattern of Pr2NdTi. It was derived from a crystal structure in Alexandria, relaxed with PBE, using Cu Kα (weighted mean of Kα1 and Kα2).

Peak list (8 most intense, 10° ≤ 2θ ≤ 90°, by angle)
- 2θ = 29.23°, 3.055 Å, I 714
- 2θ = 30.39°, 2.942 Å, I 1000
- 2θ = 32.43°, 2.761 Å, I 809
- 2θ = 34.63°, 2.590 Å, I 763
- 2θ = 38.95°, 2.312 Å, I 406
- 2θ = 46.15°, 1.967 Å, I 375
- 2θ = 53.24°, 1.721 Å, I 400
- 2θ = 61.89°, 1.499 Å, I 498

Structure:
```
Pr2NdTi
1.0
3.4413 0.0000 0.0000
-1.7206 2.9802 0.0000
0.0000 0.0000 36.6593
Pr Nd Ti
6 3 3
Direct
0.0000 0.0000 0.0814 Pr
0.0000 0.0000 0.9186 Pr
0.3333 0.6667 0.5852 Pr
0.3333 0.6667 0.7481 Pr
0.6667 0.3333 0.2519 Pr
0.6667 0.3333 0.4148 Pr
0.0000 0.0000 0.5000 Nd
0.3333 0.6667 0.1667 Nd
0.6667 0.3333 0.8333 Nd
0.0000 0.0000 0.0000 Ti
0.3333 0.6667 0.6667 Ti
0.6667 0.3333 0.3333 Ti
```

[4]
The following is a calculated powder X-ray diffraction pattern of Pr3Nd6Tl. It was derived from a crystal structure in Alexandria, relaxed with PBE, using Cu Kα (weighted mean of Kα1 and Kα2).

Peak list (8 most intense, 10° ≤ 2θ ≤ 90°, by angle)
- 2θ = 29.50°, 3.028 Å, I 430
- 2θ = 30.06°, 2.973 Å, I 671
- 2θ = 30.67°, 2.915 Å, I 591
- 2θ = 30.95°, 2.890 Å, I 1000
- 2θ = 32.65°, 2.743 Å, I 233
- 2θ = 32.78°, 2.732 Å, I 323
- 2θ = 33.23°, 2.696 Å, I 245
- 2θ = 55.65°, 1.652 Å, I 233

Structure:
```
Pr3Nd6Tl
1.0
12.5884 0.0000 0.0000
0.0000 3.6813 0.0000
-1.1131 0.0000 15.1085
Pr Nd Tl
6 12 2
Direct
0.0535 0.2500 0.3024 Pr
0.1026 0.2500 0.0826 Pr
0.4283 0.2500 0.8173 Pr
0.5717 0.7500 0.1827 Pr
0.8974 0.7500 0.9174 Pr
0.9465 0.7500 0.6976 Pr
0.1135 0.7500 0.5026 Nd
0.1883 0.7500 0.8891 Nd
0.2066 0.2500 0.6844 Nd
0.3064 0.7500 0.2540 Nd
0.3786 0.2500 0.0427 Nd
0.4377 0.7500 0.6054 Nd
0.5623 0.2500 0.3946 Nd
0.6214 0.7500 0.9573 Nd
0.6936 0.2500 0.7460 Nd
0.7934 0.7500 0.3156 Nd
0.8117 0.2500 0.1109 Nd
0.8865 0.2500 0.4974 Nd
0.3108 0.2500 0.4417 Tl
0.6892 0.7500 0.5583 Tl
```

[5]
The following is a calculated powder X-ray diffraction pattern of PrNd6Tl6. It was derived from a crystal structure in Alexandria, relaxed with PBE, using Cu Kα (weighted mean of Kα1 and Kα2).

Peak list (8 most intense, 10° ≤ 2θ ≤ 90°, by angle)
- 2θ = 31.62°, 2.830 Å, I 560
- 2θ = 31.83°, 2.812 Å, I 591
- 2θ = 32.45°, 2.759 Å, I 301
- 2θ = 35.66°, 2.518 Å, I 1000
- 2θ = 36.22°, 2.480 Å, I 213
- 2θ = 56.31°, 1.634 Å, I 301
- 2θ = 57.49°, 1.603 Å, I 227
- 2θ = 66.51°, 1.406 Å, I 233

Structure:
```
PrNd6Tl6
1.0
6.5349 0.0000 0.0000
-3.2674 5.6594 0.0000
0.0000 0.0000 11.0373
Pr Nd Tl
1 6 6
Direct
0.0000 0.0000 0.0000 Pr
0.0000 0.0000 0.3350 Nd
0.0000 0.0000 0.6650 Nd
0.3333 0.6667 0.0000 Nd
0.3333 0.6667 0.5000 Nd
0.6667 0.3333 0.0000 Nd
0.6667 0.3333 0.5000 Nd
0.0000 0.5000 0.2462 Tl
0.0000 0.5000 0.7538 Tl
0.5000 0.0000 0.2462 Tl
0.5000 0.0000 0.7538 Tl
0.5000 0.5000 0.2462 Tl
0.5000 0.5000 0.7538 Tl
```

[6]
The following is a calculated powder X-ray diffraction pattern of Pr9Nd4Tl11. It was derived from a crystal structure in Alexandria, relaxed with PBE, using Cu Kα (weighted mean of Kα1 and Kα2).

Peak list (8 most intense, 10° ≤ 2θ ≤ 90°, by angle)
- 2θ = 31.27°, 2.861 Å, I 1000
- 2θ = 31.41°, 2.848 Å, I 961
- 2θ = 32.19°, 2.781 Å, I 221
- 2θ = 34.65°, 2.589 Å, I 740
- 2θ = 39.54°, 2.279 Å, I 225
- 2θ = 53.57°, 1.711 Å, I 251
- 2θ = 59.91°, 1.544 Å, I 331
- 2θ = 60.19°, 1.537 Å, I 211

Structure:
```
Pr9Nd4Tl11
1.0
9.1168 -10.9420 0.0000
9.1168 10.9420 0.0000
0.0000 0.0000 3.6747
Pr Nd Tl
9 4 11
Direct
0.0000 0.0000 0.0000 Pr
0.1208 0.6429 0.0000 Pr
0.2934 0.4708 0.0000 Pr
0.3571 0.8792 0.0000 Pr
0.4708 0.2934 0.0000 Pr
0.5292 0.7066 0.0000 Pr
0.6429 0.1208 0.0000 Pr
0.7066 0.5292 0.0000 Pr
0.8792 0.3571 0.0000 Pr
0.0693 0.2373 0.0000 Nd
0.2373 0.0693 0.0000 Nd
0.7627 0.9307 0.0000 Nd
0.9307 0.7627 0.0000 Nd
0.0845 0.4341 0.5000 Tl
0.1371 0.8629 0.5000 Tl
0.2671 0.2671 0.5000 Tl
0.3261 0.6739 0.5000 Tl
0.4341 0.0845 0.5000 Tl
0.5000 0.5000 0.5000 Tl
0.5659 0.9155 0.5000 Tl
0.6739 0.3261 0.5000 Tl
0.7329 0.7329 0.5000 Tl
0.8629 0.1371 0.5000 Tl
0.9155 0.5659 0.5000 Tl
```

[7]
The following is a calculated powder X-ray diffraction pattern of Pr4Nd5Tl2. It was derived from a crystal structure in Alexandria, relaxed with PBE, using Cu Kα (weighted mean of Kα1 and Kα2).

Peak list (8 most intense, 10° ≤ 2θ ≤ 90°, by angle)
- 2θ = 30.98°, 2.886 Å, I 1000
- 2θ = 33.16°, 2.702 Å, I 915
- 2θ = 46.01°, 1.973 Å, I 337
- 2θ = 53.69°, 1.707 Å, I 161
- 2θ = 57.88°, 1.593 Å, I 341
- 2θ = 59.23°, 1.560 Å, I 174
- 2θ = 74.54°, 1.273 Å, I 122
- 2θ = 78.12°, 1.223 Å, I 153

Structure:
```
Pr4Nd5Tl2
1.0
2.7019 1.5599 15.8908
-2.7019 1.5599 15.8908
0.0000 -3.1199 15.8908
Pr Nd Tl
4 5 2
Direct
0.0734 0.0734 0.0734 Pr
0.2264 0.2264 0.2264 Pr
0.7736 0.7736 0.7736 Pr
0.9266 0.9266 0.9266 Pr
0.0000 0.0000 0.0000 Nd
0.1485 0.1485 0.1485 Nd
0.3041 0.3041 0.3041 Nd
0.6959 0.6959 0.6959 Nd
0.8515 0.8515 0.8515 Nd
0.3827 0.3827 0.3827 Tl
0.6173 0.6173 0.6173 Tl
```

[8]
The following is a calculated powder X-ray diffraction pattern of Pr5Nd3Tl3. It was derived from a crystal structure in Alexandria, relaxed with PBE, using Cu Kα (weighted mean of Kα1 and Kα2).

Peak list (8 most intense, 10° ≤ 2θ ≤ 90°, by angle)
- 2θ = 24.26°, 3.669 Å, I 365
- 2θ = 26.81°, 3.326 Å, I 670
- 2θ = 27.57°, 3.236 Å, I 483
- 2θ = 33.28°, 2.692 Å, I 788
- 2θ = 35.23°, 2.548 Å, I 808
- 2θ = 37.66°, 2.388 Å, I 1000
- 2θ = 40.51°, 2.227 Å, I 288
- 2θ = 62.82°, 1.479 Å, I 294

Structure:
```
Pr5Nd3Tl3
1.0
11.2092 0.0000 0.0000
-5.6046 9.7075 0.0000
0.0000 0.0000 3.5400
Pr Nd Tl
5 3 3
Direct
0.0000 0.7016 0.0000 Pr
0.2984 0.2984 0.0000 Pr
0.3333 0.6667 0.0000 Pr
0.6667 0.3333 0.0000 Pr
0.7016 0.0000 0.0000 Pr
0.0000 0.3938 0.0000 Nd
0.3938 0.0000 0.0000 Nd
0.6062 0.6062 0.0000 Nd
0.0000 0.1589 0.5000 Tl
0.1589 0.0000 0.5000 Tl
0.8411 0.8411 0.5000 Tl
```